Rb2LaNb5O15: theoretical powder diffraction line list (a wavelength of 1.5418 Å), based on the PBE geometry in the Materials Project.

Peak list (10 most intense, 2θ from 5° to 70°, sorted by position)
two_theta, Rel. int.
9.7, 20
24.9, 35
27.2, 60
28.6, 66
29.8, 33
31.1, 45
31.4, 100
45.5, 33
54.6, 21
55.5, 34

Cell and atoms:
Unit cell a=12.8797 b=12.8797 c=3.9852 alpha=90.00 beta=90.00 gamma=90.00
Fractional coordinates of all 46 atoms:
Rb1 0.1695 0.3305 0.0000
Rb2 0.3305 0.8305 0.0000
Rb3 0.6695 0.1695 0.0000
Rb4 0.8305 0.6695 0.0000
La1 0.0000 0.0000 0.0000
La2 0.5000 0.5000 0.0000
Nb1 0.0000 0.5000 0.5000
Nb2 0.0757 0.7861 0.5000
Nb3 0.2139 0.0757 0.5000
Nb4 0.2861 0.5757 0.5000
Nb5 0.4243 0.2861 0.5000
Nb6 0.5000 0.0000 0.5000
Nb7 0.5757 0.7139 0.5000
Nb8 0.7139 0.4243 0.5000
Nb9 0.7861 0.9243 0.5000
Nb10 0.9243 0.2139 0.5000
O1 0.0000 0.5000 0.0000
O2 0.0014 0.6565 0.5000
O3 0.0592 0.1330 0.5000
O4 0.0780 0.8081 0.0000
O5 0.1330 0.9408 0.5000
O6 0.1565 0.5014 0.5000
O7 0.1919 0.0780 0.0000
O8 0.2137 0.7137 0.5000
O9 0.2863 0.2137 0.5000
O10 0.3081 0.5780 0.0000
O11 0.3435 0.0014 0.5000
O12 0.3670 0.4408 0.5000
O13 0.4220 0.3081 0.0000
O14 0.4408 0.6330 0.5000
O15 0.4986 0.1565 0.5000
O16 0.5000 0.0000 0.0000
O17 0.5014 0.8435 0.5000
O18 0.5592 0.3670 0.5000
O19 0.5780 0.6919 0.0000
O20 0.6330 0.5592 0.5000
O21 0.6565 0.9986 0.5000
O22 0.6919 0.4220 0.0000
O23 0.7137 0.7863 0.5000
O24 0.7863 0.2863 0.5000
O25 0.8081 0.9220 0.0000
O26 0.8435 0.4986 0.5000
O27 0.8670 0.0592 0.5000
O28 0.9220 0.1919 0.0000
O29 0.9408 0.8670 0.5000
O30 0.9986 0.3435 0.5000